Record 1
This entry pairs a crystal structure of Pr2Er12Tm with its theoretical X-ray diffraction stick pattern. Radiation: Cu Ka. Structure: a crystal structure in Alexandria, relaxed with PBE.
Lines closer than 0.1° are merged.

Top 6 peaks for 2θ = 10–90°, in order of falling intensity:
Position (°2θ), d/Å, I_rel
32.29, 2.772, 100
32.73, 2.736, 71
32.11, 2.788, 56
31.65, 2.827, 50
31.74, 2.819, 31
46.23, 1.964, 16

Atomic structure:
abc: 6.470 6.470 25.849
angles: 93.01 93.01 115.54
Atoms (fractional coordinates):
Pr: 0.044 0.044 0.121
Pr: 0.447 0.447 0.859
Pr: 0.553 0.553 0.141
Pr: 0.956 0.956 0.879
Er: 0.073 0.571 0.198
Er: 0.089 0.089 0.251
Er: 0.107 0.107 0.624
Er: 0.126 0.638 0.678
Er: 0.159 0.538 0.552
Er: 0.243 0.711 0.937
Er: 0.289 0.757 0.063
Er: 0.362 0.874 0.322
Er: 0.377 0.377 0.376
Er: 0.405 0.405 0.736
Er: 0.429 0.927 0.802
Er: 0.462 0.841 0.448
Er: 0.538 0.159 0.552
Er: 0.571 0.073 0.198
Er: 0.595 0.595 0.264
Er: 0.623 0.623 0.624
Er: 0.638 0.126 0.678
Er: 0.711 0.243 0.937
Er: 0.757 0.289 0.063
Er: 0.841 0.462 0.448
Er: 0.874 0.362 0.322
Er: 0.893 0.893 0.376
Er: 0.911 0.911 0.749
Er: 0.927 0.429 0.802
Tm: 0.247 0.247 0.000
Tm: 0.753 0.753 0.000

Record 2
This entry pairs a crystal structure of BiRh with its theoretical X-ray diffraction stick pattern. Radiation: Cu Ka. Structure: a crystal structure in Alexandria, relaxed with PBE.
Lines closer than 0.1° are merged.

Top 6 peaks for 2θ = 10–90°, in order of falling intensity:
Position (°2θ), d/Å, I_rel
39.64, 2.273, 100
32.38, 2.765, 79
26.53, 3.360, 75
34.21, 2.621, 53
38.66, 2.329, 52
41.82, 2.160, 44

Atomic structure:
abc: 4.320 5.634 5.634
angles: 108.37 90.00 90.00
Atoms (fractional coordinates):
Bi: 0.000 0.000 0.000
Bi: 0.500 0.222 0.580
Bi: 0.500 0.580 0.222
Rh: 0.000 0.463 0.897
Rh: 0.000 0.897 0.463
Rh: 0.500 0.746 0.746

Record 3
This entry pairs a crystal structure of PbS5Br with its theoretical X-ray diffraction stick pattern. Radiation: Cu Ka. Structure: a crystal structure in Alexandria, relaxed with PBE.
Lines closer than 0.1° are merged.

Top 6 peaks for 2θ = 10–90°, in order of falling intensity:
Position (°2θ), d/Å, I_rel
17.95, 4.941, 100
17.06, 5.197, 74
21.67, 4.101, 73
26.00, 3.427, 63
32.45, 2.759, 58
34.53, 2.598, 53

Atomic structure:
abc: 4.566 5.092 10.700
angles: 76.27 89.38 87.56
Atoms (fractional coordinates):
Pb: 0.000 0.000 0.000
S: 0.002 0.185 0.622
S: 0.287 0.529 0.902
S: 0.329 0.389 0.504
S: 0.674 0.111 0.501
S: 0.714 0.569 0.902
Br: 0.500 0.910 0.181

Record 4
This entry pairs a crystal structure of Tb3AlCu3 with its theoretical X-ray diffraction stick pattern. Radiation: Cu Ka. Structure: a crystal structure in Alexandria, relaxed with PBE.
Lines closer than 0.1° are merged.

Top 6 peaks for 2θ = 10–90°, in order of falling intensity:
Position (°2θ), d/Å, I_rel
33.05, 2.710, 100
33.37, 2.685, 77
40.49, 2.228, 73
32.66, 2.742, 67
43.28, 2.090, 51
33.97, 2.639, 38

Atomic structure:
abc: 5.679 5.679 14.237
angles: 108.49 108.49 43.20
Atoms (fractional coordinates):
Tb: 0.022 0.022 0.382
Tb: 0.105 0.105 0.921
Tb: 0.245 0.245 0.231
Tb: 0.755 0.755 0.769
Tb: 0.895 0.895 0.079
Tb: 0.978 0.978 0.618
Al: 0.257 0.257 0.591
Al: 0.743 0.743 0.409
Cu: 0.373 0.373 0.457
Cu: 0.396 0.396 0.922
Cu: 0.457 0.457 0.764
Cu: 0.543 0.543 0.236
Cu: 0.604 0.604 0.078
Cu: 0.627 0.627 0.543

Record 5
This entry pairs a crystal structure of HfIn2 with its theoretical X-ray diffraction stick pattern. Radiation: Cu Ka. Structure: a crystal structure in Alexandria, relaxed with PBE.
Lines closer than 0.1° are merged.

Top 6 peaks for 2θ = 10–90°, in order of falling intensity:
Position (°2θ), d/Å, I_rel
34.12, 2.628, 100
35.54, 2.526, 94
39.42, 2.286, 65
59.29, 1.558, 38
42.43, 2.131, 30
69.85, 1.347, 21

Atomic structure:
abc: 6.272 4.261 10.014
angles: 90.00 90.00 90.00
Atoms (fractional coordinates):
Hf: 0.113 0.250 0.099
Hf: 0.387 0.750 0.599
Hf: 0.613 0.250 0.401
Hf: 0.887 0.750 0.901
In: 0.122 0.250 0.431
In: 0.151 0.250 0.767
In: 0.349 0.750 0.267
In: 0.378 0.750 0.931
In: 0.622 0.250 0.069
In: 0.651 0.250 0.733
In: 0.849 0.750 0.233
In: 0.878 0.750 0.569

Record 6
This entry pairs a crystal structure of Tb3Ho2Er3 with its theoretical X-ray diffraction stick pattern. Radiation: Cu Ka. Structure: a crystal structure in Alexandria, relaxed with PBE.
Lines closer than 0.1° are merged.

Top 6 peaks for 2θ = 10–90°, in order of falling intensity:
Position (°2θ), d/Å, I_rel
32.87, 2.725, 100
28.59, 3.122, 24
32.07, 2.791, 24
57.68, 1.598, 20
50.64, 1.803, 20
61.69, 1.503, 17

Atomic structure:
abc: 5.581 14.433 6.240
angles: 90.00 90.00 90.00
Atoms (fractional coordinates):
Tb: 0.250 0.125 0.167
Tb: 0.250 0.375 0.167
Tb: 0.250 0.750 0.666
Tb: 0.750 0.250 0.334
Tb: 0.750 0.625 0.833
Tb: 0.750 0.875 0.833
Ho: 0.250 0.625 0.167
Ho: 0.250 0.875 0.167
Ho: 0.750 0.125 0.833
Ho: 0.750 0.375 0.833
Er: 0.250 0.000 0.666
Er: 0.250 0.250 0.667
Er: 0.250 0.500 0.666
Er: 0.750 0.000 0.334
Er: 0.750 0.500 0.334
Er: 0.750 0.750 0.333